No. 1
LaAl12Zn4: calculated X-ray diffraction stick pattern (Cu Kα (weighted mean of Kα1 and Kα2)), based on a structure optimized by DFT (PBE).
No peak broadening, texture or thermal motion is included.

Top 12 peaks for 5° ≤ 2θ ≤ 70°, by intensity:
d [Å]	2θ (°)	intensity
3.120	28.61	100
2.790	32.08	75
1.801	50.69	74
2.358	38.16	58
1.730	52.91	36
6.239	14.20	35
3.602	24.72	25
1.395	67.09	25
1.973	46.00	24
2.206	40.91	19
4.412	20.13	12
1.560	59.24	10

Crystal structure
a = 7.641 Å, b = 7.641 Å, c = 7.641 Å
α = 109.47°, β = 109.47°, γ = 109.47°
Atoms (fractional coordinates):
La 0.000 0.000 0.000
Al 0.156 0.351 0.508
Al 0.156 0.649 0.805
Al 0.195 0.844 0.351
Al 0.351 0.195 0.844
Al 0.351 0.508 0.156
Al 0.492 0.844 0.649
Al 0.508 0.156 0.351
Al 0.649 0.492 0.844
Al 0.649 0.805 0.156
Al 0.805 0.156 0.649
Al 0.844 0.351 0.195
Al 0.844 0.649 0.492
Zn 0.000 0.000 0.500
Zn 0.000 0.500 0.000
Zn 0.500 0.000 0.000
Zn 0.500 0.500 0.500



No. 2
Nd5HoEr5: calculated X-ray diffraction stick pattern (Cu Kα (weighted mean of Kα1 and Kα2)), based on a structure optimized by DFT (PBE).
No peak broadening, texture or thermal motion is included.

Top 12 peaks for 5° ≤ 2θ ≤ 70°, by intensity:
d [Å]	2θ (°)	intensity
2.693	33.27	100
2.985	29.93	75
2.930	30.51	32
2.091	43.27	24
1.661	55.31	24
3.268	27.29	22
3.030	29.48	19
3.146	28.37	16
1.516	61.13	15
2.204	40.95	15
1.581	58.36	14
1.760	51.95	13

Crystal structure
a = 9.922 Å, b = 9.922 Å, c = 7.041 Å
α = 110.67°, β = 110.67°, γ = 35.01°
Atoms (fractional coordinates):
Nd 0.000 0.000 0.000
Nd 0.324 0.324 0.068
Nd 0.324 0.324 0.579
Nd 0.676 0.676 0.421
Nd 0.676 0.676 0.932
Ho 0.500 0.500 0.000
Er 0.122 0.122 0.623
Er 0.169 0.169 0.170
Er 0.500 0.500 0.500
Er 0.831 0.831 0.830
Er 0.878 0.878 0.377



> Which formula does entry 2 have?

Nd5HoEr5